Record 1
Starting from a PBE+U-relaxed structure, the PXRD pattern of LiVCuO4 was calculated for Cu Kα.

The 12 most intense peaks (5° ≤ 2θ ≤ 70°), in order of falling intensity:
2θ 35.03, intensity 100, hkl 2 1 1; 2θ 30.91, intensity 67, hkl 1 1 2; 2θ 37.47, intensity 58, hkl 1 0 3; 2θ 55.92, intensity 47, hkl 3 2 1; 2θ 64.42, intensity 43, hkl 2 2 4; 2θ 29.48, intensity 37, hkl 2 0 0; 2θ 14.62, intensity 32, hkl 1 0 0; 2θ 23.66, intensity 31, hkl 1 1 1; 2θ 53.20, intensity 29, hkl 3 1 2; 2θ 61.17, intensity 23, hkl 4 0 0; 2θ 27.08, intensity 21, hkl 1 0 2; 2θ 61.02, intensity 11, hkl 1 0 5

Crystal structure
```
data_LiVCuO4
_chemical_formula_sum 'Li4 V4 Cu4 O16'
_symmetry_space_group_name_H-M 'P 43 2 2'
_symmetry_Int_Tables_number 95
_symmetry_space_group_name_Hall 'P 4cw 2c'
_cell_length_a 6.0602
_cell_length_b 6.0602
_cell_length_c 7.8427
_cell_angle_alpha 90.00
_cell_angle_beta 90.00
_cell_angle_gamma 90.00
loop_
_atom_site_label
_atom_site_fract_x
_atom_site_fract_y
_atom_site_fract_z
Li1 0.0000 0.2372 0.0000
V1 0.2178 0.5000 0.2500
Cu1 0.2596 0.2596 0.6250
O1 0.0320 0.2743 0.2663
O2 0.2689 0.4733 0.0120
```

---

Record 2
Starting from a PBE+U-relaxed structure, the PXRD pattern of Li2VCuO4 was calculated for Cu Kα.

The 12 most intense peaks (5° ≤ 2θ ≤ 70°), in order of falling intensity:
2θ 23.62, intensity 100, hkl 0 1 1; 2θ 32.48, intensity 61, hkl 0 2 0; 2θ 36.97, intensity 61, hkl 2 1 1; 2θ 28.02, intensity 38, hkl 2 0 0; 2θ 34.76, intensity 37, hkl 0 0 2; 2θ 16.08, intensity 36, hkl 0 1 0; 2θ 57.94, intensity 35, hkl 4 0 0; 2θ 63.77, intensity 33, hkl 2 1 3; 2θ 69.37, intensity 22, hkl 4 0 2; 2θ 47.03, intensity 22, hkl 2 2 1; 2θ 48.31, intensity 20, hkl 0 2 2; 2θ 45.22, intensity 17, hkl 2 0 2

Crystal structure
```
data_Li2VCuO4
_chemical_formula_sum 'Li4 V2 Cu2 O8'
_symmetry_space_group_name_H-M 'P m n 21'
_symmetry_Int_Tables_number 31
_symmetry_space_group_name_Hall 'P 2ac -2'
_cell_length_a 6.3699
_cell_length_b 5.5106
_cell_length_c 5.1612
_cell_angle_alpha 90.00
_cell_angle_beta 90.00
_cell_angle_gamma 90.00
loop_
_atom_site_label
_atom_site_fract_x
_atom_site_fract_y
_atom_site_fract_z
Li1 0.2493 0.1662 0.0000
V1 0.0000 0.6680 0.0038
Cu1 0.0000 0.3241 0.5051
O1 0.0000 0.3633 0.8960
O2 0.0000 0.6806 0.3433
O3 0.2260 0.8204 0.8890
```

---

Record 3
Starting from a PBE+U-relaxed structure, the PXRD pattern of Li2V3CuO8 was calculated for Cu Kα.

The 12 most intense peaks (5° ≤ 2θ ≤ 70°), in order of falling intensity:
2θ 18.25, intensity 100, hkl 1 1 1; 2θ 41.84, intensity 42, hkl 4 0 0; 2θ 34.69, intensity 34, hkl 3 1 1; 2θ 63.24, intensity 22, hkl 4 0 4; 2θ 45.16, intensity 16, hkl 0 0 4; 2θ 36.65, intensity 14, hkl 1 1 3; 2θ 55.44, intensity 13, hkl 5 1 1; 2θ 60.65, intensity 13, hkl 4 4 0; 2θ 36.98, intensity 10, hkl 2 2 2; 2θ 47.56, intensity 7, hkl 3 1 3; 2θ 59.51, intensity 5, hkl 1 1 5; 2θ 63.91, intensity 5, hkl 5 3 1

Crystal structure
```
data_Li2V3CuO8
_chemical_formula_sum 'Li8 V12 Cu4 O32'
_symmetry_space_group_name_H-M 'P 43 21 2'
_symmetry_Int_Tables_number 96
_symmetry_space_group_name_Hall 'P 4nw 2abw'
_cell_length_a 8.6371
_cell_length_b 8.6371
_cell_length_c 8.0312
_cell_angle_alpha 90.00
_cell_angle_beta 90.00
_cell_angle_gamma 90.00
loop_
_atom_site_label
_atom_site_fract_x
_atom_site_fract_y
_atom_site_fract_z
Li1 0.0037 0.2494 0.3742
V1 0.1229 0.3703 0.7573
V2 0.1267 0.8733 0.2500
Cu1 0.1196 0.1196 0.0000
O1 0.1038 0.1414 0.7531
O2 0.1101 0.3773 0.9825
O3 0.1105 0.6364 0.2629
O4 0.1301 0.8545 0.4840
```

---

Record 4
Starting from a PBE+U-relaxed structure, the PXRD pattern of Li2V3CuO8 was calculated for Cu Kα.

The 12 most intense peaks (5° ≤ 2θ ≤ 70°), in order of falling intensity:
2θ 35.64, intensity 100, hkl 3 1 1; 2θ 18.31, intensity 58, hkl 1 1 1; 2θ 35.15, intensity 49, hkl 1 1 3; 2θ 62.41, intensity 48, hkl 4 0 4; 2θ 30.03, intensity 26, hkl 0 2 2; 2θ 21.30, intensity 24, hkl 0 2 0; 2θ 63.05, intensity 23, hkl 4 4 0; 2θ 56.34, intensity 20, hkl 1 1 5; 2θ 14.88, intensity 19, hkl 1 0 1; 2θ 57.30, intensity 17, hkl 1 5 1; 2θ 23.80, intensity 17, hkl 1 2 0; 2θ 57.43, intensity 16, hkl 5 1 1

Crystal structure
```
data_Li2V3CuO8
_chemical_formula_sum 'Li8 V12 Cu4 O32'
_symmetry_space_group_name_H-M 'P 21 21 21'
_symmetry_Int_Tables_number 19
_symmetry_space_group_name_Hall 'P 2ac 2ab'
_cell_length_a 8.3314
_cell_length_b 8.3503
_cell_length_c 8.4965
_cell_angle_alpha 90.00
_cell_angle_beta 90.00
_cell_angle_gamma 90.00
loop_
_atom_site_label
_atom_site_fract_x
_atom_site_fract_y
_atom_site_fract_z
Li1 0.1243 0.1255 0.1250
Li2 0.2488 0.7491 0.2464
V1 0.1248 0.3861 0.3821
V2 0.1309 0.6249 0.6310
V3 0.1352 0.8860 0.8777
Cu1 0.0039 0.9934 0.4990
O1 0.1063 0.8695 0.0984
O2 0.1088 0.1024 0.8724
O3 0.1097 0.3839 0.6142
O4 0.1196 0.8569 0.6529
O5 0.1288 0.6050 0.3963
O6 0.1331 0.6395 0.8653
O7 0.1453 0.3782 0.1472
O8 0.1476 0.1393 0.3786
```

---

Record 5
Starting from a PBE+U-relaxed structure, the PXRD pattern of Li4V3Cu3W2O16 was calculated for Cu Kα.

The 12 most intense peaks (5° ≤ 2θ ≤ 70°), in order of falling intensity:
2θ 19.64, intensity 100, hkl -1 1 1; 2θ 35.33, intensity 36, hkl 2 -1 2; 2θ 19.31, intensity 33, hkl 1 -1 1; 2θ 19.21, intensity 32, hkl 1 0 -1; 2θ 36.22, intensity 30, hkl 0 0 4; 2θ 18.92, intensity 27, hkl 0 1 -1; 2θ 31.86, intensity 25, hkl 1 0 -3; 2θ 32.55, intensity 24, hkl 1 0 3; 2θ 35.77, intensity 22, hkl -1 2 2; 2θ 24.66, intensity 21, hkl 1 0 -2; 2θ 34.52, intensity 20, hkl 1 -2 2; 2θ 57.16, intensity 16, hkl 0 2 -5

Crystal structure
```
data_Li4V3Cu3W2O16
_chemical_formula_sum 'Li4 V3 Cu3 W2 O16'
_symmetry_space_group_name_H-M 'P 1'
_symmetry_Int_Tables_number 1
_symmetry_space_group_name_Hall 'P 1'
_cell_length_a 5.9195
_cell_length_b 5.9652
_cell_length_c 9.9217
_cell_angle_alpha 92.27
_cell_angle_beta 90.10
_cell_angle_gamma 119.38
loop_
_atom_site_label
_atom_site_fract_x
_atom_site_fract_y
_atom_site_fract_z
Li1 0.0000 0.0000 0.0000
Li2 0.0034 0.0160 0.5090
Li3 0.3196 0.6710 0.4309
Li4 0.6495 0.3072 0.9288
V1 0.1710 0.3503 0.7466
V2 0.3434 0.1878 0.2417
V3 0.8283 0.1801 0.2352
Cu1 0.1741 0.8390 0.7285
Cu2 0.6541 0.8334 0.7289
Cu3 0.8248 0.6646 0.2276
W1 0.3303 0.6661 0.0094
W2 0.6673 0.3498 0.5100
O1 0.0009 0.0133 0.8077
O2 0.0109 0.0117 0.3180
O3 0.0215 0.4780 0.8853
O4 0.1763 0.3524 0.1229
O5 0.1839 0.8458 0.1034
O6 0.3140 0.6411 0.6400
O7 0.3547 0.2057 0.6067
O8 0.4478 0.4742 0.8821
O9 0.4698 0.9351 0.8767
O10 0.4867 0.4662 0.3731
O11 0.5074 0.0451 0.3646
O12 0.6338 0.3145 0.1308
O13 0.6621 0.8407 0.1046
O14 0.8270 0.6799 0.5936
O15 0.8436 0.2098 0.6034
O16 0.9491 0.4733 0.3679
```

---

Record 6
Starting from a PBE+U-relaxed structure, the PXRD pattern of Li2CuW2O8 was calculated for Cu Kα.

The 12 most intense peaks (5° ≤ 2θ ≤ 70°), in order of falling intensity:
2θ 18.23, intensity 100, hkl 0 1 0; 2θ 24.65, intensity 73, hkl 1 0 1; 2θ 28.60, intensity 56, hkl 1 1 -1; 2θ 27.09, intensity 53, hkl 0 1 -1; 2θ 20.54, intensity 51, hkl 0 1 1; 2θ 32.03, intensity 48, hkl -1 1 1; 2θ 48.47, intensity 47, hkl 2 -1 0; 2θ 24.06, intensity 44, hkl 1 0 -1; 2θ 23.09, intensity 41, hkl 1 1 1; 2θ 33.74, intensity 39, hkl 1 1 2; 2θ 33.84, intensity 36, hkl 1 2 1; 2θ 41.55, intensity 35, hkl 1 1 -2

Crystal structure
```
data_Li2CuW2O8
_chemical_formula_sum 'Li2 Cu1 W2 O8'
_symmetry_space_group_name_H-M 'P -1'
_symmetry_Int_Tables_number 2
_symmetry_space_group_name_Hall '-P 1'
_cell_length_a 5.1394
_cell_length_b 5.4606
_cell_length_c 5.9545
_cell_angle_alpha 73.67
_cell_angle_beta 85.13
_cell_angle_gamma 67.72
loop_
_atom_site_label
_atom_site_fract_x
_atom_site_fract_y
_atom_site_fract_z
Li1 0.0677 0.4068 0.2795
Cu1 0.5000 0.5000 0.5000
W1 0.2711 0.9768 0.8434
O1 0.1358 0.7786 0.1388
O2 0.2461 0.7487 0.6785
O3 0.2779 0.2730 0.5893
O4 0.3415 0.1974 0.0736
```